1.
The following is a calculated X-ray powder pattern of BaW4O8. It was derived from a PBE+U-relaxed structure, using Cu Kα (weighted mean of Kα1 and Kα2).

Structural model:
Lattice parameters (Å, degrees): 6.0897 6.0897 7.2822 90.00 90.00 120.00
Positions (direct):
Ba  0.0000  0.0000  0.0000
W  0.3333  0.6667  0.2803
W  0.3333  0.6667  0.7197
W  0.6667  0.3333  0.2803
W  0.6667  0.3333  0.7197
O  0.0000  0.3450  0.2859
O  0.0000  0.6550  0.7141
O  0.3333  0.6667  0.0000
O  0.3450  0.0000  0.2859
O  0.3450  0.3450  0.7141
O  0.6550  0.0000  0.7141
O  0.6550  0.6550  0.2859
O  0.6667  0.3333  0.0000

Largest 10 diffraction maxima, by angle, 15° ≤ 2θ ≤ 90°:
d_spacing	two_theta	I_rel
5.274	16.8	343
4.271	20.8	223
3.641	24.4	270
3.045	29.3	1000
2.996	29.8	563
2.336	38.5	301
2.136	42.3	210
1.898	47.9	207
1.758	52.0	274
1.748	52.3	235


2.
The following is a calculated X-ray powder pattern of BaWO4. It was derived from a PBE+U-relaxed structure, using Cu Kα (weighted mean of Kα1 and Kα2).

Structural model:
Lattice parameters (Å, degrees): 7.6285 7.6285 7.6285 135.83 135.83 64.25
Positions (direct):
Ba  0.0000  0.0000  0.0000
Ba  0.7500  0.2500  0.5000
W  0.2551  0.7551  0.5000
W  0.5051  0.5051  0.0000
O  0.0465  0.9054  0.6062
O  0.0946  0.7008  0.1411
O  0.1904  0.2965  0.6411
O  0.2992  0.4404  0.3938
O  0.4508  0.8096  0.1062
O  0.5596  0.9535  0.8589
O  0.6554  0.5492  0.3589
O  0.7035  0.3446  0.8938

Largest 10 diffraction maxima, by angle, 15° ≤ 2θ ≤ 90°:
d_spacing	two_theta	I_rel
3.436	25.9	1000
3.230	27.6	171
2.868	31.2	236
2.145	42.1	280
2.028	44.7	112
1.902	47.8	176
1.747	52.4	272
1.718	53.3	131
1.387	67.5	138
1.192	80.6	77